# 1
Diffraction record for PuScCd4. The X-ray diffraction stick pattern is calculated, not measured: it uses a structure optimized by DFT (PBE) and λ = 1.5418 Å (Cu Kα).
Neutral-atom scattering factors, no anomalous dispersion.

Most intense lines, 5 to 70 degrees two-theta, low angle first:
| hkl | Position (°2θ) | I/Imax |
| --- | --- | --- |
| 0 0 1 | 10.0 | 23 |
| 0 1 0 | 17.7 | 9 |
| 0 1 2 | 26.9 | 10 |
| 1 0 1 | 30.4 | 9 |
| 1 0 2 | 35.3 | 25 |
| 0 1 3 | 35.4 | 100 |
| 0 2 0 | 35.7 | 25 |
| 1 0 4 | 50.8 | 8 |
| 1 2 2 | 51.1 | 17 |
| 0 0 6 | 63.4 | 13 |
| 1 2 4 | 63.6 | 8 |
| 0 3 3 | 64.0 | 17 |

Structural model:
a b c (Å): 3.1152 5.0244 8.8087
angles (deg): 90.00 90.00 90.00
Space group Pmmm (No. 47)
Unique sites:
Pu  0.0000  0.0000  0.0000 [1 per cell]
Sc  0.0000  0.5000  0.5000 [1 per cell]
Cd  0.5000  0.0000  0.3408 [2 per cell]
Cd  0.5000  0.5000  0.1762 [2 per cell]


# 2
Diffraction record for AlPRu2. The X-ray diffraction stick pattern is calculated, not measured: it uses a structure optimized by DFT (PBE) and λ = 1.5418 Å (Cu Kα).
Neutral-atom scattering factors, no anomalous dispersion.

Most intense lines, 5 to 70 degrees two-theta, low angle first:
| hkl | Position (°2θ) | I/Imax |
| --- | --- | --- |
| 0 0 1 | 19.8 | 38 |
| 0 1 1 | 28.8 | 42 |
| 1 0 -1 | 32.6 | 20 |
| 1 1 0 | 38.9 | 100 |
| 0 2 0 | 42.2 | 39 |
| 1 0 1 | 43.5 | 25 |
| 1 0 -2 | 43.6 | 25 |
| 0 1 2 | 45.6 | 58 |
| 0 2 1 | 47.0 | 8 |
| 1 2 -1 | 54.3 | 9 |
| 1 2 1 | 62.3 | 34 |
| 2 0 -1 | 64.5 | 11 |

Structural model:
a b c (Å): 2.8887 4.2807 4.7144
angles (deg): 90.00 107.69 90.00
Space group Pm (No. 6)
Unique sites:
Al  0.0000  0.0000  0.0000 [1 per cell]
P  0.6360  0.5000  0.2787 [1 per cell]
Ru  0.3688  0.5000  0.7458 [1 per cell]
Ru  0.7319  0.0000  0.4684 [1 per cell]


# 3
Diffraction record for CeAl8Fe2. The X-ray diffraction stick pattern is calculated, not measured: it uses a structure optimized by DFT (PBE) and λ = 1.5418 Å (Cu Kα).
Neutral-atom scattering factors, no anomalous dispersion.

Most intense lines, 5 to 70 degrees two-theta, low angle first:
| hkl | Position (°2θ) | I/Imax |
| --- | --- | --- |
| 0 0 1 | 22.2 | 48 |
| 3 1 0 | 22.4 | 44 |
| 2 3 0 | 23.5 | 24 |
| 1 4 0 | 25.8 | 30 |
| 3 3 0 | 28.5 | 30 |
| 1 4 1 | 34.3 | 84 |
| 3 3 1 | 36.5 | 100 |
| 4 1 1 | 37.2 | 41 |
| 5 4 0 | 44.4 | 37 |
| 0 0 2 | 45.4 | 51 |
| 2 7 0 | 46.6 | 40 |
| 2 7 1 | 52.2 | 25 |

Structural model:
a b c (Å): 12.4094 14.3583 3.9991
angles (deg): 90.00 90.00 90.00
Space group Pbam (No. 55)
Unique sites:
Ce  0.1593  0.1813  0.0000 [4 per cell]
Al  0.0000  0.0000  0.0000 [2 per cell]
Al  0.0000  0.5000  0.5000 [2 per cell]
Al  0.0246  0.8685  0.5000 [4 per cell]
Al  0.0476  0.3197  0.5000 [4 per cell]
Al  0.0953  0.7475  0.0000 [4 per cell]
Al  0.1602  0.6223  0.5000 [4 per cell]
Al  0.1615  0.4552  0.0000 [4 per cell]
Al  0.1674  0.0084  0.5000 [4 per cell]
Al  0.2349  0.8266  0.5000 [4 per cell]
Fe  0.0350  0.5937  0.0000 [4 per cell]
Fe  0.1505  0.9029  0.0000 [4 per cell]


# 4
Diffraction record for Ba3TbBi2O8. The X-ray diffraction stick pattern is calculated, not measured: it uses a structure optimized by DFT (PBE) and λ = 1.5418 Å (Cu Kα).
Neutral-atom scattering factors, no anomalous dispersion.

Most intense lines, 5 to 70 degrees two-theta, low angle first:
| hkl | Position (°2θ) | I/Imax |
| --- | --- | --- |
| 1 0 1 | 19.6 | 17 |
| 0 1 2 | 27.3 | 83 |
| 1 1 0 | 28.3 | 100 |
| 1 0 3 | 37.0 | 14 |
| 2 0 2 | 39.7 | 42 |
| 1 0 4 | 47.7 | 15 |
| 1 2 2 | 49.5 | 34 |
| 3 0 0 | 50.1 | 21 |
| 0 2 4 | 56.4 | 12 |
| 2 2 0 | 58.5 | 16 |
| 2 1 4 | 64.2 | 12 |
| 3 1 2 | 65.7 | 15 |

Structural model:
a b c (Å): 6.3094 6.3094 8.1441
angles (deg): 90.00 90.00 120.00
Space group P-3m1 (No. 164)
Unique sites:
Ba  0.0000  0.0000  0.0000 [1 per cell]
Ba  0.3333  0.6667  0.6281 [2 per cell]
Tb  0.0000  0.0000  0.5000 [1 per cell]
Bi  0.3333  0.6667  0.1933 [2 per cell]
O  0.1633  0.3265  0.3308 [6 per cell]
O  0.3333  0.6667  0.9249 [2 per cell]